This entry pairs a crystal structure of MgCr2O5 with its theoretical PXRD pattern. Radiation: Cu Kα X-rays. Structure: a cell relaxed with GGA+U.
Neutral-atom scattering factors, no anomalous dispersion.

Lattice parameters (Å, degrees): 3.700 10.070 11.244 90.00 90.00 90.00
Space group Cmcm (No. 63)
Asymmetric unit:
Mg1 0.000 0.107 0.250
Cr1 0.000 0.208 0.597
O1 0.000 0.045 0.634
O2 0.000 0.232 0.078
O3 0.000 0.301 0.750

The 10 most intense peaks (2θ from 10° to 80°), sorted by position:
two_theta	d [Å]	I (rel.)
17.62	5.035	100
23.72	3.751	18
25.65	3.473	45
26.87	3.319	32
29.72	3.006	39
31.83	2.811	14
35.23	2.548	31
48.57	1.874	20
49.25	1.850	23
61.99	1.497	22

This entry pairs a crystal structure of MgCr4O8 with its theoretical PXRD pattern. Radiation: Cu Kα X-rays. Structure: a cell relaxed with GGA+U.
Neutral-atom scattering factors, no anomalous dispersion.

Lattice parameters (Å, degrees): 2.920 5.035 9.788 89.86 89.57 73.17
Space group P1 (No. 1)
Asymmetric unit:
Mg1 0.000 0.000 0.000
Cr1 0.260 0.482 0.179
Cr2 0.263 0.482 0.820
Cr3 0.520 0.950 0.673
Cr4 0.536 0.949 0.326
O1 0.140 0.700 0.647
O2 0.165 0.700 0.352
O3 0.355 0.291 0.000
O4 0.465 0.076 0.500
O5 0.624 0.756 0.136
O6 0.626 0.756 0.863
O7 0.884 0.203 0.244
O8 0.919 0.203 0.755

The 10 most intense peaks (2θ from 10° to 80°), sorted by position:
two_theta	d [Å]	I (rel.)
18.13	4.894	81
20.54	4.324	61
32.03	2.795	44
33.16	2.702	100
41.80	2.161	51
42.79	2.113	32
45.81	1.981	23
46.01	1.973	26
64.46	1.446	22
64.68	1.441	29

This entry pairs a crystal structure of MgCr2O5 with its theoretical PXRD pattern. Radiation: Cu Kα X-rays. Structure: a cell relaxed with GGA+U.
Neutral-atom scattering factors, no anomalous dispersion.

Lattice parameters (Å, degrees): 3.448 11.560 4.824 90.00 90.00 90.00
Space group Pmmn (No. 59, origin choice 2)
Asymmetric unit:
Mg1 0.250 0.250 0.149
Cr1 0.250 0.600 0.413
O1 0.250 0.075 0.432
O2 0.250 0.643 0.069
O3 0.250 0.750 0.582

The 10 most intense peaks (2θ from 10° to 80°), sorted by position:
two_theta	d [Å]	I (rel.)
18.39	4.824	100
24.03	3.704	36
26.99	3.304	39
29.67	3.011	39
30.94	2.890	23
31.91	2.805	53
32.86	2.726	22
34.92	2.569	38
48.69	1.870	24
53.13	1.724	26

This entry pairs a crystal structure of MgCrO3 with its theoretical PXRD pattern. Radiation: Cu Kα X-rays. Structure: a cell relaxed with GGA+U.
Neutral-atom scattering factors, no anomalous dispersion.

Lattice parameters (Å, degrees): 5.229 7.371 5.023 90.00 90.00 90.00
Space group Pnma (No. 62)
Asymmetric unit:
Mg1 0.060 0.250 0.011
Cr1 0.000 0.000 0.500
O1 0.055 0.750 0.377
O2 0.187 0.564 0.817

The 10 most intense peaks (2θ from 10° to 80°), sorted by position:
two_theta	d [Å]	I (rel.)
24.15	3.685	21
24.58	3.622	43
34.30	2.614	25
34.72	2.583	100
35.75	2.512	19
49.46	1.843	19
50.38	1.811	30
61.57	1.506	15
61.70	1.503	18
63.58	1.463	32

This entry pairs a crystal structure of MgCr4O8 with its theoretical PXRD pattern. Radiation: Cu Kα X-rays. Structure: a cell relaxed with GGA+U.
Neutral-atom scattering factors, no anomalous dispersion.

Lattice parameters (Å, degrees): 5.9017 5.9017 14.9779 90.00 90.00 120.00
Space group R-3m (No. 166, hexagonal axes)
Asymmetric unit:
Mg1 0.0000 0.0000 0.0000
Cr1 0.0000 0.0000 0.5000
Cr2 0.0000 0.5000 0.5000
O1 0.0000 0.0000 0.2287
O2 0.0120 0.5060 0.7633

The 10 most intense peaks (2θ from 10° to 80°), sorted by position:
two_theta	d [Å]	I (rel.)
17.77	4.993	100
35.64	2.519	29
37.17	2.419	10
42.84	2.111	68
46.72	1.944	7
56.06	1.641	15
61.39	1.510	17
63.00	1.475	18
66.03	1.415	12
79.21	1.209	8

This entry pairs a crystal structure of MgCr4O8 with its theoretical PXRD pattern. Radiation: Cu Kα X-rays. Structure: a cell relaxed with GGA+U.
Neutral-atom scattering factors, no anomalous dispersion.

Lattice parameters (Å, degrees): 5.648 6.316 8.223 90.00 90.00 90.00
Space group Imm2 (No. 44)
Asymmetric unit:
Mg1 0.000 0.000 0.000
Cr1 0.000 0.000 0.657
Cr2 0.000 0.258 0.311
Cr3 0.000 0.500 0.918
O1 0.000 0.237 0.548
O2 0.000 0.290 0.067
O3 0.226 0.000 0.301
O4 0.249 0.000 0.817

The 10 most intense peaks (2θ from 10° to 80°), sorted by position:
two_theta	d [Å]	I (rel.)
17.71	5.009	30
21.61	4.111	17
30.39	2.942	36
31.68	2.824	52
34.31	2.613	100
36.45	2.465	58
48.59	1.874	18
58.13	1.587	22
58.45	1.579	21
63.22	1.471	36

This entry pairs a crystal structure of MgCr2O6 with its theoretical PXRD pattern. Radiation: Cu Kα X-rays. Structure: a cell relaxed with GGA+U.
Neutral-atom scattering factors, no anomalous dispersion.

Lattice parameters (Å, degrees): 5.387 5.482 5.661 90.00 113.70 90.00
Space group Pm (No. 6)
Asymmetric unit:
Mg1 0.000 0.000 0.000
Cr1 0.292 0.000 0.674
Cr2 0.418 0.500 0.040
O1 0.076 0.000 0.366
O2 0.207 0.231 0.861
O3 0.417 0.500 0.325
O4 0.622 0.000 0.750
O5 0.711 0.500 0.019

The 10 most intense peaks (2θ from 10° to 80°), sorted by position:
two_theta	d [Å]	I (rel.)
17.11	5.183	69
17.98	4.933	93
19.22	4.619	22
23.62	3.766	100
24.27	3.667	59
25.21	3.532	62
32.67	2.741	48
33.90	2.644	39
35.97	2.497	31
63.67	1.462	16

This entry pairs a crystal structure of MgCrO4 with its theoretical PXRD pattern. Radiation: Cu Kα X-rays. Structure: a cell relaxed with GGA+U.
Neutral-atom scattering factors, no anomalous dispersion.

Lattice parameters (Å, degrees): 5.553 8.477 6.485 90.00 90.00 90.00
Space group Cmcm (No. 63)
Asymmetric unit:
Mg1 0.000 0.000 0.000
Cr1 0.000 0.357 0.250
O1 0.000 0.244 0.046
O2 0.246 0.030 0.750

The 10 most intense peaks (2θ from 10° to 80°), sorted by position:
two_theta	d [Å]	I (rel.)
23.56	3.776	100
25.10	3.548	66
32.24	2.777	25
33.71	2.659	50
35.65	2.519	31
38.77	2.323	11
41.29	2.187	12
51.51	1.774	11
56.78	1.621	13
62.09	1.495	29

This entry pairs a crystal structure of MgCrO3 with its theoretical PXRD pattern. Radiation: Cu Kα X-rays. Structure: a cell relaxed with GGA+U.
Neutral-atom scattering factors, no anomalous dispersion.

Lattice parameters (Å, degrees): 5.245 3.055 5.263 90.00 116.01 90.00
Space group Pm (No. 6)
Asymmetric unit:
Mg1 0.000 0.000 0.000
Cr1 0.646 0.500 0.349
O1 0.275 0.500 0.205
O2 0.757 0.000 0.214
O3 0.818 0.500 0.718

The 10 most intense peaks (2θ from 10° to 80°), sorted by position:
two_theta	d [Å]	I (rel.)
18.79	4.722	100
19.93	4.456	57
32.16	2.783	14
34.16	2.625	13
34.27	2.616	17
34.98	2.565	43
35.63	2.520	27
59.17	1.561	11
61.24	1.514	12
61.43	1.509	11

This entry pairs a crystal structure of MgCr2O6 with its theoretical PXRD pattern. Radiation: Cu Kα X-rays. Structure: a cell relaxed with GGA+U.
Neutral-atom scattering factors, no anomalous dispersion.

Lattice parameters (Å, degrees): 5.508 5.541 5.848 62.39 84.85 87.04
Space group P1 (No. 1)
Asymmetric unit:
Mg1 0.000 0.000 0.000
Cr1 0.245 0.711 0.608
Cr2 0.734 0.480 0.947
O1 0.041 0.429 0.813
O2 0.190 0.940 0.715
O3 0.197 0.805 0.302
O4 0.543 0.568 0.686
O5 0.705 0.157 0.166
O6 0.759 0.721 0.034

The 10 most intense peaks (2θ from 10° to 80°), sorted by position:
two_theta	d [Å]	I (rel.)
17.16	5.168	63
18.07	4.910	56
18.30	4.847	100
22.75	3.909	93
24.19	3.679	58
24.51	3.631	71
25.49	3.494	18
32.36	2.767	22
32.65	2.743	27
37.36	2.407	18

This entry pairs a crystal structure of MgCrO2 with its theoretical PXRD pattern. Radiation: Cu Kα X-rays. Structure: a cell relaxed with GGA+U.
Neutral-atom scattering factors, no anomalous dispersion.

Lattice parameters (Å, degrees): 3.048 8.106 8.600 89.33 84.37 88.26
Space group P-1 (No. 2)
Asymmetric unit:
Mg1 0.168 0.082 0.234
Mg2 0.254 0.263 0.609
Cr1 0.224 0.588 0.697
Cr2 0.491 0.757 0.077
O1 0.031 0.757 0.923
O2 0.264 0.260 0.384
O3 0.272 0.603 0.291
O4 0.319 0.078 0.752

The 10 most intense peaks (2θ from 10° to 80°), sorted by position:
two_theta	d [Å]	I (rel.)
20.76	4.279	59
21.94	4.051	68
24.39	3.649	51
30.25	2.955	100
31.36	2.853	44
33.39	2.683	77
33.90	2.644	69
37.57	2.394	74
53.15	1.723	43
54.73	1.677	45

This entry pairs a crystal structure of MgCr4O8 with its theoretical PXRD pattern. Radiation: Cu Kα X-rays. Structure: a cell relaxed with GGA+U.
Neutral-atom scattering factors, no anomalous dispersion.

Lattice parameters (Å, degrees): 4.975 5.076 5.523 84.33 88.07 80.92
Space group P1 (No. 1)
Asymmetric unit:
Mg1 0.000 0.000 0.000
Cr1 0.458 0.298 0.887
Cr2 0.473 0.882 0.473
Cr3 0.933 0.584 0.762
Cr4 0.952 0.318 0.369
O1 0.098 0.667 0.453
O2 0.140 0.215 0.700
O3 0.213 0.641 0.933
O4 0.284 0.132 0.201
O5 0.633 0.495 0.575
O6 0.668 0.934 0.786
O7 0.773 0.403 0.041
O8 0.792 0.992 0.322

The 10 most intense peaks (2θ from 10° to 80°), sorted by position:
two_theta	d [Å]	I (rel.)
16.13	5.495	29
22.91	3.882	65
29.67	3.011	100
31.22	2.865	28
32.63	2.744	95
36.59	2.456	29
39.77	2.267	32
43.14	2.097	30
45.16	2.008	43
49.40	1.845	43